No. 1
Computed powder diffractogram
Compound: LiBi2P3O12
Radiation: CuKα
Structure: a DFT-relaxed cell (PBE, the Materials Project)
Neutral-atom scattering factors, no anomalous dispersion.

The 10 most intense peaks (2θ from 10° to 80°), by angle:
- 2θ 13.6, 6.531 Å, rel. 53
- 2θ 18.9, 4.700 Å, rel. 100
- 2θ 19.0, 4.664 Å, rel. 56
- 2θ 19.4, 4.568 Å, rel. 56
- 2θ 19.6, 4.540 Å, rel. 97
- 2θ 27.3, 3.265 Å, rel. 74
- 2θ 31.0, 2.881 Å, rel. 62
- 2θ 33.2, 2.698 Å, rel. 66
- 2θ 33.5, 2.672 Å, rel. 52
- 2θ 51.3, 1.782 Å, rel. 39

Crystal structure
Cell lengths 9.087, 9.087, 9.147 Å; angles 117.94, 117.94, 61.76 degrees
Atoms (fractional coordinates):
1 Li 0.113 0.887 0.750
2 Li 0.887 0.113 0.250
3 Bi 0.148 0.647 0.350
4 Bi 0.353 0.852 0.150
5 Bi 0.647 0.148 0.850
6 Bi 0.852 0.353 0.650
7 P 0.042 0.243 0.067
8 P 0.243 0.042 0.567
9 P 0.432 0.568 0.750
10 P 0.568 0.432 0.250
11 P 0.757 0.958 0.433
12 P 0.958 0.757 0.933
13 O 0.016 0.772 0.127
14 O 0.033 0.431 0.193
15 O 0.085 0.812 0.913
16 O 0.114 0.234 0.607
17 O 0.188 0.915 0.587
18 O 0.228 0.984 0.373
19 O 0.234 0.114 0.107
20 O 0.251 0.587 0.601
21 O 0.413 0.749 0.899
22 O 0.417 0.462 0.306
23 O 0.431 0.033 0.693
24 O 0.462 0.417 0.806
25 O 0.538 0.583 0.194
26 O 0.569 0.967 0.307
27 O 0.583 0.538 0.694
28 O 0.587 0.251 0.101
29 O 0.749 0.413 0.399
30 O 0.766 0.886 0.893
31 O 0.772 0.016 0.627
32 O 0.812 0.085 0.413
33 O 0.886 0.766 0.393
34 O 0.915 0.188 0.087
35 O 0.967 0.569 0.807
36 O 0.984 0.228 0.873

---

No. 2
Computed powder diffractogram
Compound: BaSrYSbO6
Radiation: CuKα
Structure: a DFT-relaxed cell (PBE, the Materials Project)
Neutral-atom scattering factors, no anomalous dispersion.

The 10 most intense peaks (2θ from 10° to 80°), by angle:
- 2θ 14.8, 5.976 Å, rel. 1
- 2θ 18.2, 4.879 Å, rel. 3
- 2θ 29.9, 2.988 Å, rel. 100
- 2θ 35.2, 2.548 Å, rel. 1
- 2θ 36.8, 2.439 Å, rel. 2
- 2θ 42.8, 2.113 Å, rel. 30
- 2θ 53.1, 1.725 Å, rel. 42
- 2θ 62.1, 1.494 Å, rel. 18
- 2θ 70.5, 1.336 Å, rel. 18
- 2θ 78.4, 1.220 Å, rel. 6

Crystal structure
Cell lengths 8.447, 8.448, 8.455 Å; angles 90.00, 90.00, 90.00 degrees
Atoms (fractional coordinates):
1 Ba 0.000 0.000 0.000
2 Ba 0.000 0.500 0.000
3 Ba 0.500 0.000 0.000
4 Ba 0.500 0.500 0.500
5 Sr 0.000 0.000 0.500
6 Sr 0.000 0.500 0.500
7 Sr 0.500 0.000 0.500
8 Sr 0.500 0.500 0.000
9 Y 0.251 0.251 0.748
10 Y 0.251 0.749 0.252
11 Y 0.749 0.251 0.252
12 Y 0.749 0.749 0.748
13 Sb 0.250 0.251 0.253
14 Sb 0.250 0.749 0.747
15 Sb 0.750 0.251 0.747
16 Sb 0.750 0.749 0.253
17 O 0.013 0.272 0.233
18 O 0.013 0.728 0.767
19 O 0.223 0.282 0.488
20 O 0.223 0.718 0.512
21 O 0.225 0.014 0.279
22 O 0.225 0.986 0.721
23 O 0.269 0.230 0.015
24 O 0.269 0.770 0.985
25 O 0.282 0.486 0.226
26 O 0.282 0.514 0.774
27 O 0.486 0.221 0.281
28 O 0.486 0.779 0.719
29 O 0.514 0.221 0.719
30 O 0.514 0.779 0.281
31 O 0.718 0.486 0.774
32 O 0.718 0.514 0.226
33 O 0.731 0.230 0.985
34 O 0.731 0.770 0.015
35 O 0.775 0.014 0.721
36 O 0.775 0.986 0.279
37 O 0.777 0.282 0.512
38 O 0.777 0.718 0.488
39 O 0.987 0.272 0.767
40 O 0.987 0.728 0.233

---

No. 3
Computed powder diffractogram
Compound: K3PrCl6
Radiation: CuKα
Structure: a DFT-relaxed cell (PBE, the Materials Project)
Neutral-atom scattering factors, no anomalous dispersion.

The 10 most intense peaks (2θ from 10° to 80°), by angle:
- 2θ 13.9, 6.372 Å, rel. 100
- 2θ 14.5, 6.127 Å, rel. 21
- 2θ 16.1, 5.515 Å, rel. 57
- 2θ 22.8, 3.898 Å, rel. 38
- 2θ 23.5, 3.791 Å, rel. 49
- 2θ 26.8, 3.323 Å, rel. 21
- 2θ 29.9, 2.987 Å, rel. 21
- 2θ 32.5, 2.758 Å, rel. 58
- 2θ 33.4, 2.679 Å, rel. 24
- 2θ 35.5, 2.530 Å, rel. 25

Crystal structure
Cell lengths 13.429, 7.934, 12.946 Å; angles 90.00, 108.82, 90.00 degrees
Atoms (fractional coordinates):
1 K 0.099 0.035 0.359
2 K 0.099 0.465 0.859
3 K 0.314 0.561 0.267
4 K 0.314 0.939 0.767
5 K 0.321 0.067 0.113
6 K 0.321 0.433 0.613
7 K 0.679 0.567 0.387
8 K 0.679 0.933 0.887
9 K 0.686 0.061 0.233
10 K 0.686 0.439 0.733
11 K 0.901 0.535 0.141
12 K 0.901 0.965 0.641
13 Pr 0.000 0.000 0.000
14 Pr 0.000 0.500 0.500
15 Pr 0.500 0.000 0.500
16 Pr 0.500 0.500 0.000
17 Cl 0.106 0.204 0.588
18 Cl 0.106 0.296 0.088
19 Cl 0.116 0.001 0.862
20 Cl 0.116 0.499 0.362
21 Cl 0.148 0.668 0.665
22 Cl 0.148 0.832 0.165
23 Cl 0.340 0.218 0.393
24 Cl 0.340 0.282 0.893
25 Cl 0.340 0.715 0.002
26 Cl 0.340 0.785 0.502
27 Cl 0.499 0.147 0.696
28 Cl 0.499 0.353 0.196
29 Cl 0.501 0.647 0.804
30 Cl 0.501 0.853 0.304
31 Cl 0.660 0.215 0.498
32 Cl 0.660 0.285 0.998
33 Cl 0.660 0.718 0.107
34 Cl 0.660 0.782 0.607
35 Cl 0.852 0.168 0.835
36 Cl 0.852 0.332 0.335
37 Cl 0.884 0.501 0.638
38 Cl 0.884 0.999 0.138
39 Cl 0.894 0.704 0.912
40 Cl 0.894 0.796 0.412

---

No. 4
Computed powder diffractogram
Compound: SnF2
Radiation: CuKα
Structure: a DFT-relaxed cell (PBE, the Materials Project)
Neutral-atom scattering factors, no anomalous dispersion.

The 10 most intense peaks (2θ from 10° to 80°), by angle:
- 2θ 24.1, 3.698 Å, rel. 73
- 2θ 27.0, 3.296 Å, rel. 100
- 2θ 34.3, 2.615 Å, rel. 20
- 2θ 44.2, 2.049 Å, rel. 69
- 2θ 49.5, 1.841 Å, rel. 22
- 2θ 55.6, 1.654 Å, rel. 16
- 2θ 55.8, 1.648 Å, rel. 18
- 2θ 57.1, 1.613 Å, rel. 16
- 2θ 68.3, 1.373 Å, rel. 16
- 2θ 72.4, 1.305 Å, rel. 15

Crystal structure
Cell lengths 5.230, 5.230, 8.492 Å; angles 90.00, 90.00, 90.00 degrees
Atoms (fractional coordinates):
1 Sn 0.004 0.004 0.000
2 Sn 0.496 0.504 0.250
3 Sn 0.504 0.496 0.750
4 Sn 0.996 0.996 0.500
5 F 0.142 0.257 0.671
6 F 0.243 0.642 0.921
7 F 0.257 0.142 0.329
8 F 0.358 0.757 0.579
9 F 0.642 0.243 0.079
10 F 0.743 0.858 0.829
11 F 0.757 0.358 0.421
12 F 0.858 0.743 0.171

---

No. 5
Computed powder diffractogram
Compound: Sm7Pt3
Radiation: CuKα
Structure: a DFT-relaxed cell (PBE, the Materials Project)
Neutral-atom scattering factors, no anomalous dispersion.

The 10 most intense peaks (2θ from 10° to 80°), by angle:
- 2θ 17.1, 5.182 Å, rel. 29
- 2θ 29.6, 3.022 Å, rel. 46
- 2θ 30.5, 2.934 Å, rel. 100
- 2θ 30.8, 2.907 Å, rel. 28
- 2θ 33.8, 2.650 Å, rel. 84
- 2θ 34.6, 2.591 Å, rel. 79
- 2θ 35.7, 2.517 Å, rel. 75
- 2θ 39.1, 2.304 Å, rel. 31
- 2θ 47.6, 1.911 Å, rel. 26
- 2θ 53.0, 1.727 Å, rel. 33

Crystal structure
Cell lengths 10.063, 10.063, 6.444 Å; angles 90.00, 90.00, 119.88 degrees
Atoms (fractional coordinates):
1 Sm 0.038 0.576 0.500
2 Sm 0.038 0.962 0.500
3 Sm 0.167 0.833 0.986
4 Sm 0.245 0.373 0.694
5 Sm 0.373 0.245 0.194
6 Sm 0.373 0.627 0.193
7 Sm 0.424 0.962 0.500
8 Sm 0.576 0.038 0.000
9 Sm 0.627 0.373 0.693
10 Sm 0.627 0.755 0.694
11 Sm 0.755 0.627 0.194
12 Sm 0.833 0.167 0.486
13 Sm 0.962 0.038 0.000
14 Sm 0.962 0.424 0.000
15 Pt 0.122 0.311 0.253
16 Pt 0.311 0.122 0.753
17 Pt 0.311 0.689 0.753
18 Pt 0.689 0.311 0.253
19 Pt 0.689 0.878 0.253
20 Pt 0.878 0.689 0.753

---

No. 6
Computed powder diffractogram
Compound: Mn3Co2As3Rh
Radiation: CuKα
Structure: a DFT-relaxed cell (PBE, the Materials Project)
Neutral-atom scattering factors, no anomalous dispersion.

The 10 most intense peaks (2θ from 10° to 80°), by angle:
- 2θ 37.8, 2.382 Å, rel. 22
- 2θ 38.2, 2.357 Å, rel. 90
- 2θ 41.5, 2.176 Å, rel. 100
- 2θ 42.0, 2.150 Å, rel. 25
- 2θ 43.8, 2.065 Å, rel. 24
- 2θ 44.8, 2.023 Å, rel. 17
- 2θ 50.3, 1.813 Å, rel. 71
- 2θ 51.4, 1.778 Å, rel. 35
- 2θ 51.7, 1.767 Å, rel. 21
- 2θ 73.9, 1.282 Å, rel. 18

Crystal structure
Cell lengths 3.629, 6.203, 6.203 Å; angles 118.80, 90.00, 90.00 degrees
Atoms (fractional coordinates):
1 Mn 0.000 0.000 0.000
2 Mn 0.000 0.405 0.818
3 Mn 0.000 0.818 0.405
4 Co 0.500 0.148 0.404
5 Co 0.500 0.404 0.148
6 As 0.000 0.390 0.390
7 As 0.500 0.087 0.744
8 As 0.500 0.744 0.087
9 Rh 0.500 0.662 0.662